This entry pairs a crystal structure of CsLiSO4 with its theoretical XRD peak list. Radiation: a wavelength of 1.5418 Å. Structure: a DFT-relaxed cell (GGA-PBE, the Materials Project).
No peak broadening, texture or thermal motion is included.

Peak list (6 most intense, 10 to 90 degrees two-theta, by intensity)
2θ/deg, I/Imax
27.03, 100
18.66, 35
32.58, 23
38.19, 17
21.05, 14
43.88, 13

Crystal structure
Unit cell a=5.4987 b=9.1601 c=10.9476 alpha=90.00 beta=119.89 gamma=90.00
Fractional coordinates of all 28 atoms:
Cs1 0.0420 0.9995 0.2845
Cs2 0.0420 0.5005 0.7845
Cs3 0.9580 0.0005 0.7155
Cs4 0.9580 0.4995 0.2155
Li1 0.3396 0.1747 0.0859
Li2 0.3396 0.3253 0.5859
Li3 0.6604 0.6747 0.4141
Li4 0.6604 0.8253 0.9141
S1 0.3290 0.6999 0.5828
S2 0.3290 0.8001 0.0828
S3 0.6710 0.1999 0.9172
S4 0.6710 0.3001 0.4172
O1 0.0403 0.7458 0.4731
O2 0.0403 0.7542 0.9731
O3 0.3452 0.5382 0.5944
O4 0.3452 0.9618 0.0944
O5 0.3939 0.7358 0.2209
O6 0.3939 0.7642 0.7209
O7 0.4650 0.2454 0.4580
O8 0.4650 0.2546 0.9580
O9 0.5350 0.7454 0.0420
O10 0.5350 0.7546 0.5420
O11 0.6061 0.2358 0.2791
O12 0.6061 0.2642 0.7791
O13 0.6548 0.0382 0.9056
O14 0.6548 0.4618 0.4056
O15 0.9597 0.2458 0.0269
O16 0.9597 0.2542 0.5269